Entry 1:
This entry pairs a crystal structure of Na2HgAsCl6 with its simulated X-ray diffraction stick pattern. Radiation: Cu Kα X-rays. Structure: a DFT-relaxed cell (GGA-PBE, the Materials Project).
No peak broadening, texture or thermal motion is included.

Crystal structure
Unit cell a=10.6009 b=10.6009 c=10.6009 alpha=90.00 beta=90.00 gamma=90.00
Space group Fm-3m (No. 225)
One atom of each set of equivalent atoms:
Na 0.2500 0.2500 0.2500
Hg 0.0000 0.0000 0.0000
As 0.0000 0.0000 0.5000
Cl 0.0000 0.0000 0.2634

Top 12 peaks for 2θ from 15° to 90°, in order of falling intensity:
- 2θ 16.73, d 5.300, I = 100, (2 0 0)
- 2θ 23.74, d 3.748, I = 60, (2 2 0)
- 2θ 33.82, d 2.650, I = 56, (4 0 0)
- 2θ 37.96, d 2.370, I = 49, (4 2 0)
- 2θ 48.58, d 1.874, I = 37, (4 4 0)
- 2θ 41.74, d 2.164, I = 28, (4 2 2)
- 2θ 51.74, d 1.767, I = 25, (6 0 0)
- 2θ 27.91, d 3.196, I = 21, (3 1 1)
- 2θ 65.94, d 1.417, I = 16, (6 4 2)
- 2θ 81.15, d 1.185, I = 15, (8 4 0)
- 2θ 54.77, d 1.676, I = 14, (6 2 0)
- 2θ 36.96, d 2.432, I = 14, (3 3 1)


Entry 2:
This entry pairs a crystal structure of Hg3AsClO4 with its simulated X-ray diffraction stick pattern. Radiation: Cu Kα X-rays. Structure: a DFT-relaxed cell (GGA-PBE, the Materials Project).
No peak broadening, texture or thermal motion is included.

Crystal structure
Unit cell a=8.6455 b=8.6455 c=8.6455 alpha=90.00 beta=90.00 gamma=90.00
Space group P2_13 (No. 198)
One atom of each set of equivalent atoms:
Hg 0.0511 0.3975 0.3535
As 0.0203 0.5203 0.9797
Cl 0.2266 0.7734 0.2734
O 0.1005 0.8990 0.6278
O 0.1343 0.6343 0.8657

Top 12 peaks for 2θ from 15° to 90°, in order of falling intensity:
- 2θ 34.40, d 2.607, I = 100, (3 1 1)
- 2θ 31.03, d 2.882, I = 95, (2 2 1)
- 2θ 17.77, d 4.991, I = 79, (1 1 1)
- 2θ 25.23, d 3.529, I = 70, (2 1 1)
- 2θ 32.76, d 2.734, I = 67, (3 0 1)
- 2θ 23.00, d 3.866, I = 61, (2 1 0)
- 2θ 20.55, d 4.323, I = 57, (2 0 0)
- 2θ 48.24, d 1.887, I = 54, (4 1 2)
- 2θ 43.14, d 2.097, I = 48, (4 0 1)
- 2θ 38.98, d 2.311, I = 40, (3 2 1)
- 2θ 54.09, d 1.696, I = 38, (5 1 0)
- 2θ 49.45, d 1.843, I = 34, (3 3 2)